This entry pairs a crystal structure of SrCa7Ti3Mn5O23 with its calculated powder diffraction line list. Radiation: a wavelength of 1.5418 Å. Structure: a cell relaxed with PBE+U.
Peak positions follow from Bragg's law for the DFT cell and can differ from measured ones.

```
data_SrCa7Ti3Mn5O23
_chemical_formula_sum 'Sr1 Ca7 Ti3 Mn5 O23'
_space_group_name_H-M_alt 'P 1'
_space_group_IT_number 1
_cell_length_a 7.6774
_cell_length_b 7.6843
_cell_length_c 7.7177
_cell_angle_alpha 89.79
_cell_angle_beta 89.48
_cell_angle_gamma 89.87
loop_
_space_group_symop_operation_xyz
'x,y,z'
loop_
_atom_site_label
_atom_site_type_symbol
_atom_site_fract_x
_atom_site_fract_y
_atom_site_fract_z
Sr1 Sr 0.0000 0.0000 0.0000
Ca1 Ca 0.4627 0.5155 0.9777
Ca2 Ca 0.4807 0.5232 0.4770
Ca3 Ca 0.5123 0.0011 0.0122
Ca4 Ca 0.5122 0.9950 0.5319
Ca5 Ca 0.9628 0.5143 0.9662
Ca6 Ca 0.9636 0.5066 0.4902
Ca7 Ca 0.9914 0.9860 0.5142
Ti1 Ti 0.2282 0.2654 0.2303
Ti2 Ti 0.7341 0.2560 0.2548
Ti3 Ti 0.7399 0.7532 0.2467
Mn1 Mn 0.2347 0.2599 0.7502
Mn2 Mn 0.2394 0.7538 0.7417
Mn3 Mn 0.2400 0.7561 0.2505
Mn4 Mn 0.7328 0.2582 0.7493
Mn5 Mn 0.7346 0.7538 0.7494
O1 O 0.1900 0.3055 0.0080
O2 O 0.1969 0.0117 0.7401
O3 O 0.2025 0.7165 0.9981
O4 O 0.2114 0.5031 0.3094
O5 O 0.2729 0.0087 0.2158
O6 O 0.2854 0.7919 0.4942
O7 O 0.2874 0.5031 0.7103
O8 O 0.4813 0.2938 0.2361
O9 O 0.4824 0.2102 0.7803
O10 O 0.4866 0.7949 0.7880
O11 O 0.4877 0.7142 0.2132
O12 O 0.6948 0.2910 0.5063
O13 O 0.6990 0.0049 0.2761
O14 O 0.7027 0.5060 0.7917
O15 O 0.7039 0.7283 0.5029
O16 O 0.7613 0.2284 0.0045
O17 O 0.7660 0.7812 0.9981
O18 O 0.7668 0.0062 0.7156
O19 O 0.7839 0.5042 0.2304
O20 O 0.9850 0.2996 0.7130
O21 O 0.9874 0.7178 0.7124
O22 O 0.9912 0.7897 0.2829
O23 O 0.9953 0.2187 0.3113
```

Top 6 peaks for 2θ from 10° to 90°, low angle first:
| 2θ (°) | d [Å] | intensity | (hkl) |
| --- | --- | --- | --- |
| 32.80 | 2.731 | 72 | 0 2 2 |
| 32.98 | 2.716 | 100 | 2 2 0 |
| 33.07 | 2.709 | 35 | 2 0 -2 |
| 47.10 | 1.929 | 28 | 0 0 4 |
| 47.34 | 1.920 | 57 | 0 4 0 |
| 58.93 | 1.567 | 28 | -2 4 2 |